Starting from a PBE-relaxed structure, the PXRD pattern of TlHg5Au2 was calculated for Cu Kα (λ = 1.5418 Å).
Intensities are scaled so that the largest is 1000.

Peak list (10 most intense, 2θ = 15–90°, low angle first)
hkl 2 2 -1, 30.37 deg, I 1000; hkl 2 0 1, 31.93 deg, I 888; hkl 4 0 -1, 34.92 deg, I 414; hkl 1 3 -1, 36.04 deg, I 570; hkl 0 4 0, 39.20 deg, I 254; hkl 3 3 0, 39.40 deg, I 440; hkl 4 2 0, 40.15 deg, I 658; hkl 2 0 -2, 42.20 deg, I 382; hkl 1 3 2, 57.14 deg, I 266; hkl 6 2 -2, 62.17 deg, I 248

Atomic structure:
Unit cell a=10.8368 b=9.1934 c=4.3001 alpha=90.00 beta=108.18 gamma=90.00
Space group C2/m (No. 12)
Asymmetric unit:
Tl1 0.0000 0.0000 0.0000 x2
Hg1 0.0000 0.5000 0.0000 x2
Hg2 0.1464 0.2992 0.6759 x8
Au1 0.2191 0.0000 0.6598 x4